# 1
For K6Ga3Br14, a structure optimized by DFT (PBE) gives the computed X-ray diffraction stick pattern in this record (Cu Kα (weighted mean of Kα1 and Kα2)).
Kinematic intensities with the Lorentz-polarization factor, no thermal factor.

Atomic structure:
a = 12.1888 Å, b = 12.1888 Å, c = 6.5375 Å
α = 90.00°, β = 90.00°, γ = 120.00°
Atoms (fractional coordinates):
K  0.0070  0.5571  0.0000
K  0.3272  0.1086  0.5272
K  0.4429  0.4499  0.0000
K  0.5501  0.9930  0.0000
K  0.7814  0.6728  0.5272
K  0.8914  0.2186  0.5272
Ga  0.0000  0.0000  0.9210
Ga  0.3333  0.6667  0.4016
Ga  0.6667  0.3333  0.2727
Br  0.0000  0.0000  0.2799
Br  0.0758  0.8680  0.7902
Br  0.1320  0.2077  0.7902
Br  0.2022  0.4583  0.2749
Br  0.2561  0.7978  0.2749
Br  0.3333  0.6667  0.7626
Br  0.4394  0.1834  0.0456
Br  0.5143  0.4100  0.5017
Br  0.5417  0.7439  0.2749
Br  0.5900  0.1043  0.5017
Br  0.7440  0.5606  0.0456
Br  0.7923  0.9242  0.7902
Br  0.8166  0.2560  0.0456
Br  0.8957  0.4857  0.5017

The 8 most intense peaks (5° ≤ 2θ ≤ 70°), sorted by position:
2θ (°), I (rel.)
14.5, 48
15.9, 45
22.3, 38
26.2, 100
28.6, 49
28.8, 65
30.5, 42
32.2, 33

# 2
For Tb3Pm3Ga4, a structure optimized by DFT (PBE) gives the computed X-ray diffraction stick pattern in this record (Cu Kα (weighted mean of Kα1 and Kα2)).
Kinematic intensities with the Lorentz-polarization factor, no thermal factor.

Atomic structure:
a = 4.4759 Å, b = 7.7064 Å, c = 7.7064 Å
α = 90.50°, β = 90.00°, γ = 90.00°
Atoms (fractional coordinates):
Tb  0.0000  0.0000  0.0000
Tb  0.5000  0.1761  0.6757
Tb  0.5000  0.6757  0.1761
Pm  0.0000  0.3482  0.3482
Pm  0.0000  0.5017  0.8506
Pm  0.0000  0.8506  0.5017
Ga  0.5000  0.0551  0.2915
Ga  0.5000  0.2915  0.0551
Ga  0.5000  0.5574  0.5574
Ga  0.5000  0.7980  0.7980

The 8 most intense peaks (5° ≤ 2θ ≤ 70°), sorted by position:
2θ (°), I (rel.)
25.8, 35
30.6, 100
32.7, 83
32.9, 72
36.8, 34
37.0, 33
40.3, 37
68.5, 22

# 3
For Zn3InAg6, a structure optimized by DFT (PBE) gives the computed X-ray diffraction stick pattern in this record (Cu Kα (weighted mean of Kα1 and Kα2)).
Kinematic intensities with the Lorentz-polarization factor, no thermal factor.

Atomic structure:
a = 8.7345 Å, b = 4.3223 Å, c = 9.2316 Å
α = 90.00°, β = 95.03°, γ = 90.00°
Atoms (fractional coordinates):
Zn  0.0478  0.2500  0.3944
Zn  0.1526  0.7500  0.1829
Zn  0.2502  0.2500  0.9829
Zn  0.7498  0.7500  0.0171
Zn  0.8474  0.2500  0.8171
Zn  0.9522  0.7500  0.6056
In  0.4407  0.2500  0.6050
In  0.5593  0.7500  0.3950
Ag  0.0367  0.7500  0.8999
Ag  0.1238  0.2500  0.6949
Ag  0.2271  0.7500  0.4806
Ag  0.3324  0.2500  0.2803
Ag  0.3375  0.7500  0.7927
Ag  0.4448  0.7500  0.0912
Ag  0.5552  0.2500  0.9088
Ag  0.6625  0.2500  0.2073
Ag  0.6676  0.7500  0.7197
Ag  0.7729  0.2500  0.5194
Ag  0.8762  0.7500  0.3051
Ag  0.9633  0.2500  0.1001

The 8 most intense peaks (5° ≤ 2θ ≤ 70°), sorted by position:
2θ (°), I (rel.)
37.9, 100
38.2, 100
41.8, 40
42.8, 35
47.8, 21
61.4, 23
65.3, 17
65.8, 8

# 4
For Er8CSe6, a structure optimized by DFT (PBE) gives the computed X-ray diffraction stick pattern in this record (Cu Kα (weighted mean of Kα1 and Kα2)).
Kinematic intensities with the Lorentz-polarization factor, no thermal factor.

Atomic structure:
a = 8.2947 Å, b = 8.2947 Å, c = 5.7833 Å
α = 90.00°, β = 90.00°, γ = 120.00°
Atoms (fractional coordinates):
Er  0.0000  0.2407  0.2573
Er  0.0000  0.7593  0.7427
Er  0.2407  0.0000  0.2573
Er  0.2407  0.2407  0.7427
Er  0.3333  0.6667  0.5000
Er  0.6667  0.3333  0.5000
Er  0.7593  0.0000  0.7427
Er  0.7593  0.7593  0.2573
C  0.0000  0.0000  0.5000
Se  0.0000  0.3946  0.7497
Se  0.0000  0.6054  0.2503
Se  0.3946  0.0000  0.7497
Se  0.3946  0.3946  0.2503
Se  0.6054  0.0000  0.2503
Se  0.6054  0.6054  0.7497

The 8 most intense peaks (5° ≤ 2θ ≤ 70°), sorted by position:
2θ (°), I (rel.)
26.4, 25
30.9, 20
33.0, 23
33.4, 14
36.6, 100
37.6, 20
37.9, 39
58.7, 24

# 5
For Np2TlTe4, a structure optimized by DFT (PBE) gives the computed X-ray diffraction stick pattern in this record (Cu Kα (weighted mean of Kα1 and Kα2)).
Kinematic intensities with the Lorentz-polarization factor, no thermal factor.

Atomic structure:
a = 9.3348 Å, b = 9.3348 Å, c = 9.3503 Å
α = 120.00°, β = 120.00°, γ = 60.04°
Atoms (fractional coordinates):
Np  0.0000  0.0000  0.0000
Np  0.0000  0.0000  0.5000
Np  0.0000  0.5000  0.0000
Np  0.5000  0.0000  0.0000
Tl  0.3747  0.3747  0.6242
Tl  0.6253  0.6253  0.3757
Te  0.2034  0.7660  0.2350
Te  0.2340  0.7966  0.7650
Te  0.2346  0.2346  0.2030
Te  0.2347  0.2347  0.7660
Te  0.7653  0.7653  0.2340
Te  0.7654  0.7654  0.7970
Te  0.7660  0.2034  0.2350
Te  0.7966  0.2340  0.7650

The 8 most intense peaks (5° ≤ 2θ ≤ 70°), sorted by position:
2θ (°), I (rel.)
11.6, 26
19.0, 24
22.3, 81
27.0, 56
35.3, 63
38.6, 100
53.3, 21
69.7, 16

# 6
For Tl4InF6, a structure optimized by DFT (PBE) gives the computed X-ray diffraction stick pattern in this record (Cu Kα (weighted mean of Kα1 and Kα2)).
Kinematic intensities with the Lorentz-polarization factor, no thermal factor.

Atomic structure:
a = 7.6609 Å, b = 7.6609 Å, c = 9.7651 Å
α = 90.00°, β = 90.00°, γ = 90.00°
Atoms (fractional coordinates):
Tl  0.1758  0.3242  0.2500
Tl  0.1758  0.3242  0.7500
Tl  0.3242  0.8242  0.2500
Tl  0.3242  0.8242  0.7500
Tl  0.6758  0.1758  0.2500
Tl  0.6758  0.1758  0.7500
Tl  0.8242  0.6758  0.2500
Tl  0.8242  0.6758  0.7500
In  0.0000  0.0000  0.0000
In  0.5000  0.5000  0.5000
F  0.0000  0.0000  0.2197
F  0.0000  0.0000  0.7803
F  0.1753  0.7873  0.0000
F  0.2127  0.1753  0.0000
F  0.2873  0.6753  0.5000
F  0.3247  0.2873  0.5000
F  0.5000  0.5000  0.2803
F  0.5000  0.5000  0.7197
F  0.6753  0.7127  0.5000
F  0.7127  0.3247  0.5000
F  0.7873  0.8247  0.0000
F  0.8247  0.2127  0.0000

The 8 most intense peaks (5° ≤ 2θ ≤ 70°), sorted by position:
2θ (°), I (rel.)
18.2, 57
26.0, 75
29.6, 43
31.9, 100
36.8, 26
45.6, 34
52.7, 34
54.2, 27

# 7
For K6TlIn, a structure optimized by DFT (PBE) gives the computed X-ray diffraction stick pattern in this record (Cu Kα (weighted mean of Kα1 and Kα2)).
Kinematic intensities with the Lorentz-polarization factor, no thermal factor.

Atomic structure:
a = 4.8648 Å, b = 9.7536 Å, c = 9.7536 Å
α = 84.80°, β = 90.00°, γ = 90.00°
Atoms (fractional coordinates):
K  0.0000  0.0000  0.0000
K  0.0000  0.5428  0.8837
K  0.0000  0.8837  0.5428
K  0.5000  0.2370  0.6873
K  0.5000  0.2683  0.2683
K  0.5000  0.6873  0.2370
Tl  0.5000  0.6040  0.6040
In  0.0000  0.4762  0.4762

The 8 most intense peaks (5° ≤ 2θ ≤ 70°), sorted by position:
2θ (°), I (rel.)
9.1, 100
12.3, 17
13.5, 21
25.9, 36
27.0, 23
33.2, 15
33.8, 17
36.9, 14

# 8
For InSn2Se3, a structure optimized by DFT (PBE) gives the computed X-ray diffraction stick pattern in this record (Cu Kα (weighted mean of Kα1 and Kα2)).
Kinematic intensities with the Lorentz-polarization factor, no thermal factor.

Atomic structure:
a = 9.5809 Å, b = 9.5809 Å, c = 9.5809 Å
α = 154.45°, β = 154.45°, γ = 36.45°
Atoms (fractional coordinates):
In  0.0000  0.0000  0.0000
Sn  0.3329  0.3329  0.0000
Sn  0.6671  0.6671  0.0000
Se  0.1668  0.1668  0.0000
Se  0.5000  0.5000  0.0000
Se  0.8332  0.8332  0.0000

The 8 most intense peaks (5° ≤ 2θ ≤ 70°), sorted by position:
2θ (°), I (rel.)
25.6, 11
29.4, 52
29.8, 100
42.4, 77
42.7, 38
52.7, 40
61.9, 12
69.5, 18

# 9
For Ce2Sm2Ga3, a structure optimized by DFT (PBE) gives the computed X-ray diffraction stick pattern in this record (Cu Kα (weighted mean of Kα1 and Kα2)).
Kinematic intensities with the Lorentz-polarization factor, no thermal factor.

Atomic structure:
a = 12.2014 Å, b = 12.2014 Å, c = 3.3840 Å
α = 90.00°, β = 90.00°, γ = 160.48°
Atoms (fractional coordinates):
Ce  0.2116  0.7884  0.0000
Ce  0.7884  0.2116  0.0000
Sm  0.0721  0.9279  0.0000
Sm  0.9279  0.0721  0.0000
Ga  0.3573  0.6427  0.5000
Ga  0.5000  0.5000  0.5000
Ga  0.6427  0.3573  0.5000

The 8 most intense peaks (5° ≤ 2θ ≤ 70°), sorted by position:
2θ (°), I (rel.)
26.3, 19
33.9, 100
34.4, 76
34.7, 33
40.1, 28
43.4, 20
43.8, 25
65.5, 29

# 10
For MgH3Pd2, a structure optimized by DFT (PBE) gives the computed X-ray diffraction stick pattern in this record (Cu Kα (weighted mean of Kα1 and Kα2)).
Kinematic intensities with the Lorentz-polarization factor, no thermal factor.

Atomic structure:
a = 3.6750 Å, b = 5.9101 Å, c = 6.4390 Å
α = 98.80°, β = 106.52°, γ = 108.09°
Atoms (fractional coordinates):
Mg  0.1963  0.2894  0.1026
Mg  0.8037  0.7106  0.8974
H  0.1026  0.9437  0.2603
H  0.1879  0.6936  0.6827
H  0.4917  0.6610  0.3203
H  0.5083  0.3390  0.6797
H  0.8121  0.3064  0.3173
H  0.8974  0.0563  0.7397
Pd  0.0192  0.3688  0.6709
Pd  0.3919  0.0244  0.7606
Pd  0.6081  0.9756  0.2394
Pd  0.9808  0.6312  0.3291

The 8 most intense peaks (5° ≤ 2θ ≤ 70°), sorted by position:
2θ (°), I (rel.)
25.0, 43
26.1, 85
30.0, 59
37.1, 100
37.9, 77
38.6, 50
44.2, 69
49.6, 32

# 11
For SrGaH5, a structure optimized by DFT (PBE) gives the computed X-ray diffraction stick pattern in this record (Cu Kα (weighted mean of Kα1 and Kα2)).
Kinematic intensities with the Lorentz-polarization factor, no thermal factor.

Atomic structure:
a = 8.5365 Å, b = 4.6905 Å, c = 8.7141 Å
α = 90.00°, β = 90.00°, γ = 90.00°
Atoms (fractional coordinates):
Sr  0.0066  0.2500  0.1843
Sr  0.4934  0.7500  0.6843
Sr  0.5066  0.2500  0.3157
Sr  0.9934  0.7500  0.8157
Ga  0.1663  0.2500  0.5840
Ga  0.3337  0.7500  0.0840
Ga  0.6663  0.2500  0.9160
Ga  0.8337  0.7500  0.4160
H  0.0214  0.2500  0.9112
H  0.0210  0.7500  0.4029
H  0.2178  0.2500  0.4077
H  0.2263  0.5274  0.6714
H  0.2263  0.9726  0.6714
H  0.2737  0.0274  0.1714
H  0.2737  0.4726  0.1714
H  0.2822  0.7500  0.9077
H  0.4790  0.2500  0.9029
H  0.4786  0.7500  0.4112
H  0.5214  0.2500  0.5888
H  0.5210  0.7500  0.0971
H  0.7178  0.2500  0.0923
H  0.7263  0.5274  0.8286
H  0.7263  0.9726  0.8286
H  0.7737  0.0274  0.3286
H  0.7737  0.4726  0.3286
H  0.7822  0.7500  0.5923
H  0.9790  0.2500  0.5971
H  0.9786  0.7500  0.0888

The 8 most intense peaks (5° ≤ 2θ ≤ 70°), sorted by position:
2θ (°), I (rel.)
22.9, 36
23.9, 55
29.9, 100
30.1, 97
33.1, 41
36.4, 34
38.4, 36
56.7, 38

# 12
For Cd7Hg2, a structure optimized by DFT (PBE) gives the computed X-ray diffraction stick pattern in this record (Cu Kα (weighted mean of Kα1 and Kα2)).
Kinematic intensities with the Lorentz-polarization factor, no thermal factor.

Atomic structure:
a = 14.9401 Å, b = 14.9401 Å, c = 14.9401 Å
α = 23.30°, β = 23.30°, γ = 23.30°
Atoms (fractional coordinates):
Cd  0.0000  0.0000  0.0000
Cd  0.0000  0.0000  0.5000
Cd  0.0000  0.5000  0.0000
Cd  0.1093  0.1093  0.1093
Cd  0.1177  0.1177  0.6060
Cd  0.1177  0.6060  0.1177
Cd  0.2234  0.2234  0.2234
Cd  0.3940  0.8823  0.8823
Cd  0.5000  0.0000  0.0000
Cd  0.6060  0.1177  0.1177
Cd  0.7766  0.7766  0.7766
Cd  0.8823  0.3940  0.8823
Cd  0.8823  0.8823  0.3940
Cd  0.8907  0.8907  0.8907
Hg  0.3595  0.3595  0.3595
Hg  0.4518  0.4518  0.4518
Hg  0.5482  0.5482  0.5482
Hg  0.6405  0.6405  0.6405

The 8 most intense peaks (5° ≤ 2θ ≤ 70°), sorted by position:
2θ (°), I (rel.)
26.6, 24
28.3, 38
29.6, 48
34.4, 42
35.0, 100
38.2, 35
56.1, 25
61.5, 32